Starting from a crystal structure in OQMD, relaxed with PBE, the powder diffraction line list of Zn3TeAs2Pb3O14 was simulated for Cu Ka.
No peak broadening, texture or thermal motion is included.

Principal peaks in the range 2θ = 10–80°, by angle:
- 2θ 26.99, d 3.303, intensity 100, hkl 1 1 1
- 2θ 29.65, d 3.013, intensity 91, hkl 0 2 1
- 2θ 32.22, d 2.778, intensity 29, hkl 2 1 0
- 2θ 34.08, d 2.631, intensity 21, hkl 0 0 2
- 2θ 36.68, d 2.450, intensity 18, hkl 3 0 0
- 2θ 44.44, d 2.039, intensity 22, hkl 3 1 0
- 2θ 47.60, d 1.910, intensity 26, hkl 1 2 2
- 2θ 47.85, d 1.901, intensity 29, hkl 3 1 1
- 2θ 50.93, d 1.793, intensity 18, hkl 3 0 2
- 2θ 57.39, d 1.606, intensity 28, hkl 3 2 1

Atomic structure:
```
Zn3TeAs2Pb3O14
1.0
8.4870 0.0000 0.0000
-4.2435 7.3499 0.0000
0.0000 0.0000 5.2619
Zn Te As Pb O
3 1 2 3 14
direct
0.0000 0.2387 0.0000
0.2387 0.0000 0.0000
0.7613 0.7613 0.0000
0.0000 0.0000 0.5000
0.3333 0.6667 0.0433
0.6667 0.3333 0.9567
0.0000 0.5924 0.5000
0.4076 0.4076 0.5000
0.5924 0.0000 0.5000
0.0883 0.8726 0.7117
0.1274 0.2157 0.7117
0.1895 0.4580 0.1789
0.2157 0.1274 0.2883
0.2685 0.8105 0.1789
0.3333 0.6667 0.7201
0.4580 0.1895 0.8211
0.5420 0.7315 0.1789
0.6667 0.3333 0.2799
0.7315 0.5420 0.8211
0.7843 0.9117 0.7117
0.8105 0.2685 0.8211
0.8726 0.0883 0.2883
0.9117 0.7843 0.2883
```